Simulated X-ray diffraction stick pattern
Compound: TbTmZnSn
Radiation: Cu Kα
Structure: a PBE-relaxed structure
Neutral-atom scattering factors, no anomalous dispersion.

Unit cell a=5.1613 b=5.1613 c=5.1613 alpha=60.00 beta=60.00 gamma=60.00
Element x y z (fractional)
Tb1 0.0000 0.0000 0.0000
Tm1 0.5000 0.5000 0.5000
Zn1 0.2500 0.2500 0.2500
Sn1 0.7500 0.7500 0.7500

Largest 10 diffraction maxima, in order of rising 2θ, 2θ = 10–90°:
21.08°, rel. 2.2
24.39°, rel. 8.0
34.76°, rel. 100.0
42.92°, rel. 2.4
49.98°, rel. 18.0
56.37°, rel. 3.3
62.32°, rel. 37.1
73.38°, rel. 11.5
78.65°, rel. 1.5
83.82°, rel. 16.5